This entry pairs a crystal structure of CsMnMoF6 with its simulated PXRD pattern. Radiation: Cu Kα (weighted mean of Kα1 and Kα2). Structure: a crystal structure in Alexandria, relaxed with PBE+U.
Intensities are scaled so that the largest is 100.

Top 10 peaks for 2θ = 15–90°, by angle:
| 2θ (°) | d/Å | I/Imax |
| --- | --- | --- |
| 22.64 | 3.928 | 37 |
| 22.90 | 3.884 | 18 |
| 26.52 | 3.362 | 65 |
| 26.64 | 3.347 | 100 |
| 26.82 | 3.325 | 43 |
| 27.98 | 3.189 | 37 |
| 42.17 | 2.143 | 20 |
| 42.56 | 2.124 | 29 |
| 46.22 | 1.964 | 63 |
| 54.56 | 1.682 | 21 |

Structure:
Lattice parameters (Å, degrees): 7.8561 7.8561 7.8561 120.74 119.94 89.41
Sites, in units of the cell vectors:
Cs1 0.3500 0.1000 0.2500
Cs2 0.6500 0.9000 0.7500
Mn1 0.0000 0.0000 0.5000
Mn2 0.0000 0.5000 0.0000
Mo1 0.0000 0.5000 0.5000
Mo2 0.5000 0.5000 0.0000
F1 0.0684 0.8184 0.2500
F2 0.0700 0.4229 0.2505
F3 0.0700 0.8195 0.6471
F4 0.3213 0.5713 0.7500
F5 0.3276 0.1805 0.7505
F6 0.3276 0.5771 0.1471
F7 0.6724 0.4229 0.8529
F8 0.6724 0.8195 0.2495
F9 0.6787 0.4287 0.2500
F10 0.9300 0.1805 0.3529
F11 0.9300 0.5771 0.7495
F12 0.9316 0.1816 0.7500